[1]
# Ba3Sr3In4
Simulated X-ray diffraction stick pattern, Cu Kα, 1.54184 Å. Input: a cell relaxed with PBE.

Cell and atoms:
abc: 4.4726 9.6592 9.6592
angles: 90.01 90.00 90.00
Positions (direct):
Ba (0.0000, 0.0000, 0.0000)
Ba (0.0000, 0.1673, 0.5058)
Ba (0.0000, 0.5058, 0.1673)
Sr (0.0000, 0.6625, 0.6625)
Sr (0.5000, 0.3390, 0.8346)
Sr (0.5000, 0.8346, 0.3390)
In (0.5000, 0.2095, 0.2095)
In (0.5000, 0.4648, 0.4648)
In (0.5000, 0.7059, 0.9461)
In (0.5000, 0.9461, 0.7059)

Top 6 peaks for 10 to 80 degrees two-theta, sorted by position:
2θ/deg, I (rel.)
27.17, 23.4
28.73, 100.0
29.24, 42.1
40.33, 13.4
50.59, 17.9
55.17, 14.1

[2]
# BaSr4In
Simulated X-ray diffraction stick pattern, Cu Kα, 1.54184 Å. Input: a cell relaxed with PBE.

Cell and atoms:
abc: 4.2039 4.2039 16.6781
angles: 90.00 90.00 90.00
Positions (direct):
Ba (0.0000, 0.0000, 0.0000)
Sr (0.0000, 0.0000, 0.3848)
Sr (0.0000, 0.0000, 0.6152)
Sr (0.5000, 0.5000, 0.1963)
Sr (0.5000, 0.5000, 0.8037)
In (0.5000, 0.5000, 0.5000)

Top 6 peaks for 10 to 80 degrees two-theta, sorted by position:
2θ/deg, I (rel.)
23.70, 16.2
26.58, 100.0
30.06, 53.2
40.65, 15.4
43.03, 19.7
51.31, 39.7

[3]
# BaSr3In3
Simulated X-ray diffraction stick pattern, Cu Kα, 1.54184 Å. Input: a cell relaxed with PBE.

Cell and atoms:
abc: 7.1452 7.1452 7.1452
angles: 109.67 109.67 109.67
Positions (direct):
Ba (0.0000, 0.0000, 0.0000)
Sr (0.4992, 0.4992, 0.9989)
Sr (0.4992, 0.9989, 0.4992)
Sr (0.9989, 0.4992, 0.4992)
In (0.4992, 0.9990, 0.9990)
In (0.9990, 0.4992, 0.9990)
In (0.9990, 0.9990, 0.4992)

Top 6 peaks for 10 to 80 degrees two-theta, sorted by position:
2θ/deg, I (rel.)
15.28, 24.3
30.61, 100.0
30.85, 98.0
44.01, 36.3
54.41, 19.1
54.56, 38.0

[4]
# Ba7SrIn4
Simulated X-ray diffraction stick pattern, Cu Kα, 1.54184 Å. Input: a cell relaxed with PBE.

Cell and atoms:
abc: 8.7493 8.7493 12.7252
angles: 122.78 122.78 43.86
Positions (direct):
Ba (0.0000, 0.0000, 0.0000)
Ba (0.1794, 0.1794, 0.6218)
Ba (0.2775, 0.2775, 0.1176)
Ba (0.4239, 0.4239, 0.6237)
Ba (0.5761, 0.5761, 0.3763)
Ba (0.7225, 0.7225, 0.8824)
Ba (0.8206, 0.8206, 0.3782)
Sr (0.5000, 0.5000, 0.0000)
In (0.0502, 0.0502, 0.7720)
In (0.1767, 0.1767, 0.3291)
In (0.8233, 0.8233, 0.6709)
In (0.9498, 0.9498, 0.2280)

Top 6 peaks for 10 to 80 degrees two-theta, sorted by position:
2θ/deg, I (rel.)
25.57, 47.2
25.81, 61.2
27.29, 100.0
28.84, 35.6
29.67, 73.6
31.38, 59.0

[5]
# BaSrIn2
Simulated X-ray diffraction stick pattern, Cu Kα, 1.54184 Å. Input: a cell relaxed with PBE.

Cell and atoms:
abc: 5.2577 14.8756 8.0011
angles: 90.00 90.00 90.00
Positions (direct):
Ba (0.0000, 0.0599, 0.2500)
Ba (0.0000, 0.9401, 0.7500)
Ba (0.5000, 0.4401, 0.7500)
Ba (0.5000, 0.5599, 0.2500)
Sr (0.0000, 0.2241, 0.7500)
Sr (0.0000, 0.7759, 0.2500)
Sr (0.5000, 0.2759, 0.2500)
Sr (0.5000, 0.7241, 0.7500)
In (0.0000, 0.4020, 0.0654)
In (0.0000, 0.4020, 0.4346)
In (0.0000, 0.5980, 0.5654)
In (0.0000, 0.5980, 0.9346)
In (0.5000, 0.0980, 0.5654)
In (0.5000, 0.0980, 0.9346)
In (0.5000, 0.9020, 0.0654)
In (0.5000, 0.9020, 0.4346)

Top 6 peaks for 10 to 80 degrees two-theta, sorted by position:
2θ/deg, I (rel.)
27.12, 100.0
28.67, 74.9
34.11, 34.3
34.64, 21.2
35.77, 21.3
41.67, 19.8

[6]
# BaIn3Tc
Simulated X-ray diffraction stick pattern, Cu Kα, 1.54184 Å. Input: a cell relaxed with PBE.

Cell and atoms:
abc: 5.2768 5.2768 5.2768
angles: 90.00 90.00 90.00
Positions (direct):
Ba (0.0000, 0.0000, 0.0000)
In (0.0000, 0.5000, 0.5000)
In (0.5000, 0.0000, 0.5000)
In (0.5000, 0.5000, 0.0000)
Tc (0.5000, 0.5000, 0.5000)

Top 6 peaks for 10 to 80 degrees two-theta, sorted by position:
2θ/deg, I (rel.)
23.85, 19.7
29.32, 84.4
33.98, 100.0
48.81, 70.4
57.97, 35.6
60.81, 23.9

[7]
# Ba8Tl2In
Simulated X-ray diffraction stick pattern, Cu Kα, 1.54184 Å. Input: a cell relaxed with PBE.

Cell and atoms:
abc: 10.4838 10.4838 10.4838
angles: 147.12 124.64 65.90
Positions (direct):
Ba (0.1205, 0.3410, 0.7795)
Ba (0.1399, 0.1399, 0.0000)
Ba (0.3166, 0.0000, 0.3166)
Ba (0.4385, 0.6590, 0.7795)
Ba (0.5615, 0.3410, 0.2205)
Ba (0.6834, 0.0000, 0.6834)
Ba (0.8601, 0.8601, 0.0000)
Ba (0.8795, 0.6590, 0.2205)
Tl (0.3109, 0.8109, 0.5000)
Tl (0.6891, 0.1891, 0.5000)
In (0.0000, 0.5000, 0.5000)

Top 6 peaks for 10 to 80 degrees two-theta, sorted by position:
2θ/deg, I (rel.)
26.84, 18.2
28.17, 100.0
30.12, 27.5
30.48, 18.0
43.39, 13.6
52.30, 17.8

[8]
# BaTlIn
Simulated X-ray diffraction stick pattern, Cu Kα, 1.54184 Å. Input: a cell relaxed with PBE.

Cell and atoms:
abc: 5.3775 8.8806 8.6486
angles: 90.00 90.00 90.00
Positions (direct):
Ba (0.2500, 0.2051, 0.0000)
Ba (0.2500, 0.2949, 0.5000)
Ba (0.7500, 0.7051, 0.5000)
Ba (0.7500, 0.7949, 0.0000)
Tl (0.2500, 0.5926, 0.8141)
Tl (0.2500, 0.9074, 0.3141)
Tl (0.7500, 0.0926, 0.3141)
Tl (0.7500, 0.4074, 0.8141)
In (0.2500, 0.5838, 0.1850)
In (0.2500, 0.9162, 0.6850)
In (0.7500, 0.0838, 0.6850)
In (0.7500, 0.4162, 0.1850)

Top 6 peaks for 10 to 80 degrees two-theta, sorted by position:
2θ/deg, I (rel.)
28.03, 66.2
28.33, 100.0
32.66, 47.8
33.32, 54.6
34.59, 79.0
47.35, 33.9